(1)
Ce4Th5In2: simulated XRD peak list (Cu Kα X-rays), based on a DFT-relaxed cell (PBE, Alexandria).
Lines closer than 0.1° are merged.

Structural model:
Lattice parameters (Å, degrees): 3.353 9.048 21.946 90.00 90.00 90.00
Space group Immm (No. 71)
Symmetry-distinct sites (fractional):
Ce  0.000  0.000  0.245 [4 per cell]
Ce  0.000  0.305  0.500 [4 per cell]
Th  0.000  0.207  0.345 [8 per cell]
Th  0.000  0.500  0.000 [2 per cell]
In  0.000  0.000  0.101 [4 per cell]

Main lines, by angle (10° ≤ 2θ ≤ 80°):
2θ (°)  Rel. int.  hkl
24.33  35  0 0 6
25.52  37  0 2 4
29.30  31  1 0 3
29.56  46  1 1 2
31.45  67  0 2 6
32.10  71  0 3 3
33.52  100  1 2 1
39.35  26  1 0 7
44.33  39  1 2 7
47.56  35  1 3 6

***

(2)
SrZn8Au2: simulated XRD peak list (Cu Kα X-rays), based on a DFT-relaxed cell (PBE, Alexandria).
Lines closer than 0.1° are merged.

Structural model:
Lattice parameters (Å, degrees): 5.236 5.236 9.473 90.00 90.00 90.00
Space group P4/mmm (No. 123)
Symmetry-distinct sites (fractional):
Sr  0.000  0.000  0.000 [1 per cell]
Zn  0.251  0.251  0.290 [8 per cell]
Au  0.000  0.500  0.500 [2 per cell]

Main lines, by angle (10° ≤ 2θ ≤ 80°):
2θ (°)  Rel. int.  hkl
24.03  17  1 1 0
25.84  72  1 1 1
30.65  19  1 1 2
37.43  28  1 1 3
38.00  18  0 0 4
39.32  100  2 0 2
44.98  34  2 0 3
49.22  30  2 2 0
56.41  17  3 1 1
63.82  15  2 2 4